(1)
Structure and computed X-ray diffraction stick pattern of CrFe3Ir6 (a DFT-relaxed cell (PBE, Alexandria); Cu Kα).
Kinematic intensities with the Lorentz-polarization factor, no thermal factor.

Top 10 peaks for 2θ = 10–90°, most intense first:
41.33 deg, d 2.184, rel. 100, hkl 1 1 3; 47.57 deg, d 1.911, rel. 17, hkl 2 0 -4; 47.84 deg, d 1.901, rel. 16, hkl 0 2 0; 48.88 deg, d 1.863, rel. 15, hkl 4 0 2; 23.88 deg, d 3.727, rel. 15, hkl 2 0 1; 33.23 deg, d 2.696, rel. 14, hkl 1 1 -2; 84.64 deg, d 1.145, rel. 13, hkl 1 3 3; 84.25 deg, d 1.149, rel. 13, hkl 5 1 -5; 86.20 deg, d 1.128, rel. 12, hkl 7 1 1; 69.76 deg, d 1.348, rel. 11, hkl 2 2 -4

Structural model:
```
data_CrFe3Ir6
_chemical_formula_sum 'Cr2 Fe6 Ir12'
_space_group_name_H-M_alt 'P 1 21/m 1'
_space_group_IT_number 11
_space_group_name_Hall '-P 2yb'
_cell_length_a 8.378
_cell_length_b 3.803
_cell_length_c 8.504
_cell_angle_alpha 90.00
_cell_angle_beta 91.18
_cell_angle_gamma 90.00
loop_
_atom_site_label
_atom_site_type_symbol
_atom_site_fract_x
_atom_site_fract_y
_atom_site_fract_z
Cr1 Cr 0.054 0.250 0.397
Fe1 Fe 0.254 0.250 0.000
Fe2 Fe 0.350 0.750 0.800
Fe3 Fe 0.447 0.250 0.602
Ir1 Ir 0.054 0.750 0.899
Ir2 Ir 0.146 0.250 0.696
Ir3 Ir 0.151 0.750 0.204
Ir4 Ir 0.244 0.750 0.502
Ir5 Ir 0.355 0.250 0.305
Ir6 Ir 0.453 0.750 0.101
```

(2)
Structure and computed X-ray diffraction stick pattern of Sr2Hg5Pd4 (a DFT-relaxed cell (PBE, Alexandria); Cu Kα).
Kinematic intensities with the Lorentz-polarization factor, no thermal factor.

Top 10 peaks for 2θ = 10–90°, most intense first:
40.54 deg, d 2.225, rel. 100, hkl 2 2 4; 36.20 deg, d 2.481, rel. 96, hkl 2 0 4; 34.83 deg, d 2.575, rel. 76, hkl 2 2 0; 34.20 deg, d 2.622, rel. 71, hkl 1 3 3; 17.63 deg, d 5.031, rel. 67, hkl 0 2 0; 41.30 deg, d 2.186, rel. 61, hkl 0 4 4; 40.82 deg, d 2.211, rel. 58, hkl 0 0 8; 26.85 deg, d 3.321, rel. 51, hkl 0 2 4; 17.94 deg, d 4.945, rel. 49, hkl 1 1 1; 54.72 deg, d 1.678, rel. 40, hkl 2 2 8

Structural model:
```
data_Sr2Hg5Pd4
_chemical_formula_sum 'Sr8 Hg20 Pd16'
_space_group_name_H-M_alt 'F m m m'
_space_group_IT_number 69
_space_group_name_Hall '-F 2 2'
_cell_length_a 5.996
_cell_length_b 10.061
_cell_length_c 17.685
_cell_angle_alpha 90.00
_cell_angle_beta 90.00
_cell_angle_gamma 90.00
loop_
_atom_site_label
_atom_site_type_symbol
_atom_site_fract_x
_atom_site_fract_y
_atom_site_fract_z
Sr1 Sr 0.000 0.000 0.141
Hg1 Hg 0.000 0.000 0.500
Hg2 Hg 0.250 0.250 0.000
Hg3 Hg 0.250 0.250 0.250
Pd1 Pd 0.000 0.156 0.372
```

(3)
Structure and computed X-ray diffraction stick pattern of CeGaCo2C (a DFT-relaxed cell (PBE, Alexandria); Cu Kα).
Kinematic intensities with the Lorentz-polarization factor, no thermal factor.

Top 10 peaks for 2θ = 10–90°, most intense first:
35.94 deg, d 2.499, rel. 100, hkl 1 1 2; 36.41 deg, d 2.467, rel. 89, hkl 1 3 1; 35.75 deg, d 2.512, rel. 59, hkl 0 4 1; 46.55 deg, d 1.951, rel. 34, hkl 2 0 0; 33.87 deg, d 2.647, rel. 26, hkl 1 3 0; 60.05 deg, d 1.541, rel. 25, hkl 2 4 1; 53.09 deg, d 1.725, rel. 24, hkl 1 3 3; 64.98 deg, d 1.435, rel. 23, hkl 1 7 0; 43.15 deg, d 2.096, rel. 20, hkl 0 2 3; 26.12 deg, d 3.412, rel. 16, hkl 0 0 2

Structural model:
```
data_CeGaCo2C
_chemical_formula_sum 'Ce4 Ga4 Co8 C4'
_space_group_name_H-M_alt 'C m c m'
_space_group_IT_number 63
_space_group_name_Hall '-C 2c 2'
_cell_length_a 3.902
_cell_length_b 10.805
_cell_length_c 6.824
_cell_angle_alpha 90.00
_cell_angle_beta 90.00
_cell_angle_gamma 90.00
loop_
_atom_site_label
_atom_site_type_symbol
_atom_site_fract_x
_atom_site_fract_y
_atom_site_fract_z
Ce1 Ce 0.000 0.060 0.250
Ga1 Ga 0.000 0.222 0.750
Co1 Co 0.000 0.341 0.057
C1 C 0.000 0.500 0.000
```

(4)
Structure and computed X-ray diffraction stick pattern of MnMoRh4 (a DFT-relaxed cell (PBE, Alexandria); Cu Kα).
Kinematic intensities with the Lorentz-polarization factor, no thermal factor.

Top 10 peaks for 2θ = 10–90°, most intense first:
43.20 deg, d 2.094, rel. 100, hkl 1 2 -1; 42.83 deg, d 2.111, rel. 96, hkl 1 1 2; 43.90 deg, d 2.063, rel. 90, hkl 3 1 0; 41.18 deg, d 2.192, rel. 74, hkl 2 0 -2; 37.92 deg, d 2.372, rel. 50, hkl 2 1 1; 68.26 deg, d 1.374, rel. 32, hkl 2 3 1; 37.74 deg, d 2.384, rel. 21, hkl 0 2 0; 82.19 deg, d 1.173, rel. 19, hkl 0 3 3; 83.67 deg, d 1.156, rel. 18, hkl 4 3 -1; 76.45 deg, d 1.246, rel. 18, hkl 3 2 -3

Structural model:
```
data_MnMoRh4
_chemical_formula_sum 'Mn2 Mo2 Rh8'
_space_group_name_H-M_alt 'P 1 2/c 1'
_space_group_IT_number 13
_space_group_name_Hall '-P 2yc'
_cell_length_a 6.903
_cell_length_b 4.767
_cell_length_c 5.244
_cell_angle_alpha 90.00
_cell_angle_beta 96.15
_cell_angle_gamma 90.00
loop_
_atom_site_label
_atom_site_type_symbol
_atom_site_fract_x
_atom_site_fract_y
_atom_site_fract_z
Mn1 Mn 0.000 0.093 0.250
Mo1 Mo 0.500 0.416 0.250
Rh1 Rh 0.168 0.412 0.912
Rh2 Rh 0.330 0.084 0.581
```

(5)
Structure and computed X-ray diffraction stick pattern of Tb4Dy2Ge3O2 (a DFT-relaxed cell (PBE, Alexandria); Cu Kα).
Kinematic intensities with the Lorentz-polarization factor, no thermal factor.

Top 10 peaks for 2θ = 10–90°, most intense first:
35.94 deg, d 2.499, rel. 100, hkl 1 1 6; 28.67 deg, d 3.114, rel. 72, hkl 1 1 2; 39.49 deg, d 2.282, rel. 66, hkl 2 0 0; 69.32 deg, d 1.356, rel. 30, hkl 3 1 6; 22.51 deg, d 3.950, rel. 25, hkl 0 0 6; 57.08 deg, d 1.614, rel. 23, hkl 2 2 0; 30.19 deg, d 2.960, rel. 22, hkl 0 0 8; 31.57 deg, d 2.834, rel. 22, hkl 1 1 4; 50.50 deg, d 1.807, rel. 21, hkl 2 0 8; 32.95 deg, d 2.718, rel. 17, hkl 1 0 7

Structural model:
```
data_Tb4Dy2Ge3O2
_chemical_formula_sum 'Tb8 Dy4 Ge6 O4'
_space_group_name_H-M_alt 'I 4/m m m'
_space_group_IT_number 139
_space_group_name_Hall '-I 4 2'
_cell_length_a 4.564
_cell_length_b 4.564
_cell_length_c 23.683
_cell_angle_alpha 90.00
_cell_angle_beta 90.00
_cell_angle_gamma 90.00
loop_
_atom_site_label
_atom_site_type_symbol
_atom_site_fract_x
_atom_site_fract_y
_atom_site_fract_z
Tb1 Tb 0.000 0.500 0.081
Dy1 Dy 0.000 0.000 0.198
Ge1 Ge 0.000 0.000 0.324
Ge2 Ge 0.000 0.000 0.500
O1 O 0.000 0.000 0.100
```

(6)
Structure and computed X-ray diffraction stick pattern of Tl2SbPb4 (a DFT-relaxed cell (PBE, Alexandria); Cu Kα).
Kinematic intensities with the Lorentz-polarization factor, no thermal factor.

Top 10 peaks for 2θ = 10–90°, most intense first:
32.28 deg, d 2.773, rel. 100, hkl 1 1 0; 33.30 deg, d 2.690, rel. 91, hkl 0 1 8; 58.22 deg, d 1.585, rel. 38, hkl 1 2 8; 47.06 deg, d 1.931, rel. 35, hkl 2 0 8; 57.57 deg, d 1.601, rel. 20, hkl 3 0 0; 77.44 deg, d 1.233, rel. 17, hkl 3 1 8; 60.15 deg, d 1.538, rel. 17, hkl 1 0 16; 79.13 deg, d 1.210, rel. 15, hkl 2 1 16; 67.56 deg, d 1.387, rel. 12, hkl 2 2 0; 19.71 deg, d 4.505, rel. 12, hkl 0 1 2

Structural model:
```
data_Tl2SbPb4
_chemical_formula_sum 'Tl6 Sb3 Pb12'
_space_group_name_H-M_alt 'R -3 m'
_space_group_IT_number 166
_space_group_name_Hall '-R 3 2"'
_cell_length_a 5.5462
_cell_length_b 5.5462
_cell_length_c 25.9826
_cell_angle_alpha 90.00
_cell_angle_beta 90.00
_cell_angle_gamma 120.00
loop_
_atom_site_label
_atom_site_type_symbol
_atom_site_fract_x
_atom_site_fract_y
_atom_site_fract_z
Tl1 Tl 0.0000 0.0000 0.2499
Sb1 Sb 0.0000 0.0000 0.0000
Pb1 Pb 0.0000 0.0000 0.1258
Pb2 Pb 0.0000 0.0000 0.3794
```

(7)
Structure and computed X-ray diffraction stick pattern of NaHg6Sb (a DFT-relaxed cell (PBE, Alexandria); Cu Kα).
Kinematic intensities with the Lorentz-polarization factor, no thermal factor.

Top 10 peaks for 2θ = 10–90°, most intense first:
33.59 deg, d 2.668, rel. 100, hkl 1 1 4; 34.62 deg, d 2.591, rel. 48, hkl 2 0 0; 61.39 deg, d 1.510, rel. 36, hkl 3 1 4; 59.39 deg, d 1.556, rel. 19, hkl 2 0 8; 49.77 deg, d 1.832, rel. 18, hkl 2 2 0; 70.61 deg, d 1.334, rel. 11, hkl 2 2 8; 11.37 deg, d 7.786, rel. 11, hkl 0 0 2; 46.67 deg, d 1.946, rel. 9, hkl 0 0 8; 83.42 deg, d 1.159, rel. 8, hkl 4 2 0; 24.28 deg, d 3.665, rel. 8, hkl 1 1 0

Structural model:
```
data_NaHg6Sb
_chemical_formula_sum 'Na2 Hg12 Sb2'
_space_group_name_H-M_alt 'I 4/m m m'
_space_group_IT_number 139
_space_group_name_Hall '-I 4 2'
_cell_length_a 5.181
_cell_length_b 5.181
_cell_length_c 15.571
_cell_angle_alpha 90.00
_cell_angle_beta 90.00
_cell_angle_gamma 90.00
loop_
_atom_site_label
_atom_site_type_symbol
_atom_site_fract_x
_atom_site_fract_y
_atom_site_fract_z
Na1 Na 0.000 0.000 0.000
Hg1 Hg 0.000 0.000 0.239
Hg2 Hg 0.000 0.500 0.125
Sb1 Sb 0.000 0.000 0.500
```

(8)
Structure and computed X-ray diffraction stick pattern of Sm2Sn3Rh4 (a DFT-relaxed cell (PBE, Alexandria); Cu Kα).
Kinematic intensities with the Lorentz-polarization factor, no thermal factor.

Top 10 peaks for 2θ = 10–90°, most intense first:
38.45 deg, d 2.342, rel. 100, hkl 2 0 2; 33.50 deg, d 2.675, rel. 85, hkl 1 5 1; 33.86 deg, d 2.647, rel. 45, hkl 2 2 1; 38.10 deg, d 2.362, rel. 38, hkl 0 2 3; 41.22 deg, d 2.190, rel. 33, hkl 0 6 2; 68.79 deg, d 1.365, rel. 25, hkl 2 6 4; 54.98 deg, d 1.670, rel. 21, hkl 3 5 1; 37.03 deg, d 2.428, rel. 21, hkl 2 4 0; 32.81 deg, d 2.730, rel. 20, hkl 1 3 2; 44.86 deg, d 2.020, rel. 19, hkl 2 6 0

Structural model:
```
data_Sm2Sn3Rh4
_chemical_formula_sum 'Sm8 Sn12 Rh16'
_space_group_name_H-M_alt 'C m c e'
_space_group_IT_number 64
_space_group_name_Hall '-C 2ac 2'
_cell_length_a 6.046
_cell_length_b 16.297
_cell_length_c 7.403
_cell_angle_alpha 90.00
_cell_angle_beta 90.00
_cell_angle_gamma 90.00
loop_
_atom_site_label
_atom_site_type_symbol
_atom_site_fract_x
_atom_site_fract_y
_atom_site_fract_z
Sm1 Sm 0.000 0.103 0.080
Sn1 Sn 0.000 0.000 0.500
Sn2 Sn 0.250 0.235 0.750
Rh1 Rh 0.000 0.171 0.476
Rh2 Rh 0.250 0.071 0.750
```